(1)
Simulated powder diffractogram
Compound: Li2Zr2GaSnIr2
Radiation: Cu Ka
Structure: a cell relaxed with PBE
Intensities are scaled so that the largest is 100.

Top 10 peaks for 15° ≤ 2θ ≤ 90°, by intensity:
- 39.77°, rel. 100, hkl 1 1 2
- 24.07°, rel. 84, hkl 1 0 1
- 39.90°, rel. 50, hkl 2 0 0
- 72.36°, rel. 34, hkl 3 1 2
- 47.14°, rel. 28, hkl 2 1 1
- 72.10°, rel. 17, hkl 2 0 4
- 57.70°, rel. 17, hkl 2 2 0
- 46.91°, rel. 14, hkl 1 0 3
- 63.24°, rel. 12, hkl 2 1 3
- 85.73°, rel. 11, hkl 2 2 4

Cell and atoms:
Cell lengths 4.519, 4.519, 6.430 Å; angles 90.00, 90.00, 90.00 degrees
Space group P-4m2 (No. 115)
Symmetry-distinct sites (fractional):
Li 0.000 0.500 0.235
Zr 0.000 0.000 0.000
Zr 0.500 0.500 0.500
Ga 0.500 0.500 0.000
Sn 0.000 0.000 0.500
Ir 0.000 0.500 0.757



(2)
Simulated powder diffractogram
Compound: Ba2NdInTe5
Radiation: Cu Ka
Structure: a cell relaxed with PBE
Intensities are scaled so that the largest is 100.

Top 10 peaks for 15° ≤ 2θ ≤ 90°, by intensity:
- 27.16°, rel. 100, hkl 1 1 3
- 26.66°, rel. 57, hkl 0 6 1
- 31.60°, rel. 43, hkl 1 5 2
- 38.88°, rel. 29, hkl 2 0 0
- 47.77°, rel. 28, hkl 2 6 1
- 44.34°, rel. 25, hkl 1 7 4
- 26.32°, rel. 15, hkl 1 3 2
- 23.26°, rel. 14, hkl 1 1 2
- 34.64°, rel. 13, hkl 1 5 3
- 38.68°, rel. 12, hkl 0 2 6

Cell and atoms:
Cell lengths 4.633, 20.633, 14.336 Å; angles 90.00, 90.00, 90.00 degrees
Space group Cmc2_1 (No. 36)
Symmetry-distinct sites (fractional):
Ba 0.000 0.118 0.000
Ba 0.000 0.129 0.364
Nd 0.000 0.210 0.664
In 0.000 0.444 0.247
Te 0.000 0.047 0.629
Te 0.000 0.292 0.016
Te 0.000 0.311 0.321
Te 0.000 0.359 0.680
Te 0.000 0.496 0.920



(3)
Simulated powder diffractogram
Compound: Li4GeAsPt2
Radiation: Cu Ka
Structure: a cell relaxed with PBE
Intensities are scaled so that the largest is 100.

Top 10 peaks for 15° ≤ 2θ ≤ 90°, by intensity:
- 25.50°, rel. 100, hkl 1 0 1
- 42.21°, rel. 51, hkl 1 1 2
- 50.06°, rel. 33, hkl 2 1 1
- 42.32°, rel. 26, hkl 2 0 0
- 77.33°, rel. 18, hkl 3 1 2
- 49.87°, rel. 16, hkl 1 0 3
- 67.43°, rel. 13, hkl 2 1 3
- 29.58°, rel. 11, hkl 1 1 0
- 77.10°, rel. 9, hkl 2 0 4
- 61.40°, rel. 9, hkl 2 2 0

Cell and atoms:
Cell lengths 4.271, 4.271, 6.070 Å; angles 90.00, 90.00, 90.00 degrees
Space group P-4m2 (No. 115)
Symmetry-distinct sites (fractional):
Li 0.000 0.000 0.000
Li 0.000 0.500 0.750
Li 0.500 0.500 0.500
Ge 0.000 0.000 0.500
As 0.500 0.500 0.000
Pt 0.000 0.500 0.257



(4)
Simulated powder diffractogram
Compound: Na3PaTe4
Radiation: Cu Ka
Structure: a cell relaxed with PBE
Intensities are scaled so that the largest is 100.

Top 10 peaks for 15° ≤ 2θ ≤ 90°, by intensity:
- 27.87°, rel. 100, hkl 2 0 1
- 40.19°, rel. 71, hkl 2 4 1
- 28.36°, rel. 46, hkl 0 4 0
- 49.61°, rel. 38, hkl 0 4 2
- 39.83°, rel. 38, hkl 0 0 2
- 72.55°, rel. 22, hkl 2 4 3
- 23.08°, rel. 19, hkl 1 1 1
- 36.49°, rel. 17, hkl 3 1 1
- 24.22°, rel. 17, hkl 0 2 1
- 65.17°, rel. 16, hkl 2 0 3

Cell and atoms:
Cell lengths 9.054, 12.587, 4.527 Å; angles 90.00, 90.00, 90.00 degrees
Space group Cmmm (No. 65)
Symmetry-distinct sites (fractional):
Na 0.000 0.000 0.000
Na 0.250 0.250 0.500
Pa 0.000 0.500 0.000
Te 0.000 0.267 0.000
Te 0.228 0.500 0.500



(5)
Simulated powder diffractogram
Compound: Ta4Au2CN
Radiation: Cu Ka
Structure: a cell relaxed with PBE
Intensities are scaled so that the largest is 100.

Top 10 peaks for 15° ≤ 2θ ≤ 90°, by intensity:
- 38.31°, rel. 100, hkl 1 0 3
- 32.73°, rel. 23, hkl 1 0 0
- 58.41°, rel. 21, hkl 1 1 0
- 72.70°, rel. 20, hkl 1 1 6
- 39.33°, rel. 20, hkl 0 0 6
- 70.63°, rel. 17, hkl 0 1 9
- 72.04°, rel. 16, hkl 0 2 3
- 52.06°, rel. 15, hkl 1 0 6
- 82.04°, rel. 4, hkl 2 0 6
- 68.59°, rel. 3, hkl 2 0 0

Cell and atoms:
Cell lengths 3.1597, 3.1597, 13.7456 Å; angles 90.00, 90.00, 120.00 degrees
Space group P-3m1 (No. 164)
Symmetry-distinct sites (fractional):
Ta 0.3333 0.6667 0.0873
Ta 0.3333 0.6667 0.4155
Au 0.3333 0.6667 0.7475
C 0.0000 0.0000 0.0000
N 0.0000 0.0000 0.5000



(6)
Simulated powder diffractogram
Compound: TaSbS4
Radiation: Cu Ka
Structure: a cell relaxed with PBE
Intensities are scaled so that the largest is 100.

Top 10 peaks for 15° ≤ 2θ ≤ 90°, by intensity:
- 29.65°, rel. 100, hkl 1 1 1
- 36.42°, rel. 100, hkl 1 5 1
- 32.05°, rel. 97, hkl 1 3 1
- 16.85°, rel. 90, hkl 0 4 0
- 42.24°, rel. 75, hkl 1 7 1
- 32.78°, rel. 56, hkl 0 4 2
- 29.20°, rel. 51, hkl 0 2 2
- 38.09°, rel. 51, hkl 0 6 2
- 50.48°, rel. 48, hkl 1 1 3
- 52.04°, rel. 42, hkl 1 3 3

Cell and atoms:
Cell lengths 3.462, 21.048, 6.393 Å; angles 90.00, 90.00, 90.00 degrees
Space group Cmm2 (No. 35)
Symmetry-distinct sites (fractional):
Ta 0.000 0.000 0.000
Sb 0.000 0.500 0.506
S 0.000 0.075 0.711
S 0.000 0.426 0.141



(7)
Simulated powder diffractogram
Compound: YHo2In3Pt2
Radiation: Cu Ka
Structure: a cell relaxed with PBE
Intensities are scaled so that the largest is 100.

Top 10 peaks for 15° ≤ 2θ ≤ 90°, by intensity:
- 33.95°, rel. 100, hkl 1 0 2
- 36.61°, rel. 68, hkl 1 2 2
- 35.60°, rel. 51, hkl 0 5 1
- 63.14°, rel. 27, hkl 2 5 1
- 35.70°, rel. 21, hkl 0 1 3
- 43.73°, rel. 20, hkl 1 5 1
- 69.70°, rel. 18, hkl 1 3 5
- 50.28°, rel. 17, hkl 2 0 0
- 40.64°, rel. 15, hkl 0 3 3
- 66.27°, rel. 13, hkl 1 7 3

Cell and atoms:
Cell lengths 3.629, 13.357, 7.683 Å; angles 90.00, 90.00, 90.00 degrees
Space group Amm2 (No. 38)
Symmetry-distinct sites (fractional):
Y 0.000 0.000 0.000
Ho 0.000 0.211 0.370
In 0.500 0.000 0.350
In 0.500 0.116 0.695
Pt 0.500 0.168 0.081



(8)
Simulated powder diffractogram
Compound: GdAlZnNi
Radiation: Cu Ka
Structure: a cell relaxed with PBE
Intensities are scaled so that the largest is 100.

Top 10 peaks for 15° ≤ 2θ ≤ 90°, by intensity:
- 34.67°, rel. 100, hkl 1 1 2
- 37.59°, rel. 63, hkl 3 1 -1
- 23.54°, rel. 32, hkl 1 1 0
- 44.14°, rel. 32, hkl 0 2 0
- 25.07°, rel. 29, hkl 0 0 2
- 39.38°, rel. 28, hkl 4 0 1
- 37.70°, rel. 25, hkl 3 1 1
- 51.44°, rel. 19, hkl 0 0 4
- 35.37°, rel. 16, hkl 3 1 0
- 60.62°, rel. 16, hkl 4 2 1

Cell and atoms:
Cell lengths 9.686, 4.104, 7.105 Å; angles 90.00, 90.32, 90.00 degrees
Space group C2/m (No. 12)
Symmetry-distinct sites (fractional):
Gd 0.063 0.000 0.243
Al 0.152 0.500 0.557
Zn 0.153 0.500 0.945
Ni 0.220 0.000 0.740



(9)
Simulated powder diffractogram
Compound: Dy3Y2Lu2Ni2Te2
Radiation: Cu Ka
Structure: a cell relaxed with PBE
Intensities are scaled so that the largest is 100.

Top 10 peaks for 15° ≤ 2θ ≤ 90°, by intensity:
- 34.12°, rel. 100, hkl 1 4 1
- 34.61°, rel. 93, hkl 0 6 0
- 33.05°, rel. 81, hkl 0 3 3
- 30.42°, rel. 49, hkl 1 1 2
- 47.30°, rel. 34, hkl 2 0 0
- 58.92°, rel. 31, hkl 2 3 3
- 30.23°, rel. 30, hkl 0 5 1
- 24.98°, rel. 25, hkl 1 0 1
- 38.53°, rel. 23, hkl 1 2 3
- 36.69°, rel. 22, hkl 1 0 3

Cell and atoms:
Cell lengths 3.843, 15.551, 9.537 Å; angles 90.00, 90.00, 90.00 degrees
Space group Imm2 (No. 44)
Symmetry-distinct sites (fractional):
Dy 0.000 0.000 0.000
Dy 0.000 0.132 0.417
Y 0.000 0.353 0.268
Lu 0.000 0.315 0.619
Ni 0.000 0.238 0.929
Te 0.000 0.000 0.664
Te 0.000 0.500 0.763



(10)
Simulated powder diffractogram
Compound: ErHgTeO
Radiation: Cu Ka
Structure: a cell relaxed with PBE
Intensities are scaled so that the largest is 100.

Top 10 peaks for 15° ≤ 2θ ≤ 90°, by intensity:
- 28.33°, rel. 100, hkl 1 0 2
- 27.75°, rel. 93, hkl 2 1 -1
- 33.29°, rel. 67, hkl 2 2 0
- 21.65°, rel. 61, hkl 2 0 0
- 40.10°, rel. 57, hkl 0 3 1
- 28.61°, rel. 42, hkl 2 1 1
- 41.85°, rel. 38, hkl 2 2 -2
- 44.13°, rel. 37, hkl 4 0 0
- 42.06°, rel. 29, hkl 1 1 -3
- 37.46°, rel. 28, hkl 1 2 -2

Cell and atoms:
Cell lengths 8.216, 7.130, 6.951 Å; angles 90.00, 92.43, 90.00 degrees
Space group P2_1/c (No. 14)
Symmetry-distinct sites (fractional):
Er 0.036 0.143 0.187
Hg 0.495 0.690 0.501
Te 0.265 0.017 0.553
O 0.039 0.651 0.611



(11)
Simulated powder diffractogram
Compound: Ag2W
Radiation: Cu Ka
Structure: a cell relaxed with PBE
Intensities are scaled so that the largest is 100.

Top 10 peaks for 15° ≤ 2θ ≤ 90°, by intensity:
- 39.04°, rel. 100, hkl 0 1 3
- 41.15°, rel. 90, hkl 1 1 1
- 38.62°, rel. 57, hkl 0 2 0
- 37.90°, rel. 45, hkl 1 0 -2
- 55.23°, rel. 29, hkl 1 2 -2
- 74.31°, rel. 21, hkl 1 2 4
- 42.74°, rel. 21, hkl 1 1 -2
- 70.17°, rel. 17, hkl 0 3 3
- 71.61°, rel. 17, hkl 1 3 1
- 60.73°, rel. 16, hkl 1 0 4

Cell and atoms:
Cell lengths 2.734, 4.662, 8.018 Å; angles 90.00, 96.56, 90.00 degrees
Space group P2_1/m (No. 11)
Symmetry-distinct sites (fractional):
Ag 0.057 0.250 0.235
Ag 0.409 0.250 0.899
W 0.307 0.750 0.434



(12)
Simulated powder diffractogram
Compound: ReTe4Se
Radiation: Cu Ka
Structure: a cell relaxed with PBE
Intensities are scaled so that the largest is 100.

Top 10 peaks for 15° ≤ 2θ ≤ 90°, by intensity:
- 29.67°, rel. 100, hkl 1 0 2
- 32.54°, rel. 73, hkl 2 -2 0
- 33.90°, rel. 64, hkl 1 2 -2
- 27.93°, rel. 41, hkl 0 2 -2
- 45.45°, rel. 34, hkl 3 -2 2
- 33.74°, rel. 32, hkl 2 0 -2
- 47.25°, rel. 31, hkl 2 2 0
- 16.69°, rel. 29, hkl 1 0 -1
- 44.03°, rel. 25, hkl 0 2 -4
- 45.17°, rel. 22, hkl 3 0 -2

Cell and atoms:
Cell lengths 6.874, 7.286, 8.334 Å; angles 115.65, 90.35, 107.90 degrees
Space group P-1 (No. 2)
Symmetry-distinct sites (fractional):
Re 0.001 0.193 0.498
Te 0.008 0.269 0.020
Te 0.228 0.522 0.407
Te 0.259 0.001 0.818
Te 0.275 0.465 0.800
Se 0.233 0.991 0.355



(13)
Simulated powder diffractogram
Compound: Li4PdSeO6
Radiation: Cu Ka
Structure: a cell relaxed with PBE
Intensities are scaled so that the largest is 100.

Top 10 peaks for 15° ≤ 2θ ≤ 90°, by intensity:
- 18.39°, rel. 100, hkl 0 0 1
- 43.06°, rel. 88, hkl 1 3 1
- 35.34°, rel. 53, hkl 2 0 -1
- 20.80°, rel. 39, hkl 1 1 0
- 23.39°, rel. 30, hkl 1 1 -1
- 62.34°, rel. 26, hkl 3 3 -1
- 36.99°, rel. 25, hkl 1 3 -1
- 62.72°, rel. 25, hkl 2 0 2
- 19.88°, rel. 24, hkl 0 2 0
- 27.20°, rel. 21, hkl 0 2 1

Cell and atoms:
Cell lengths 5.161, 8.934, 5.123 Å; angles 90.00, 109.63, 90.00 degrees
Space group C2 (No. 5)
Symmetry-distinct sites (fractional):
Li 0.000 0.000 0.000
Li 0.000 0.160 0.500
Li 0.000 0.492 0.500
Li 0.000 0.838 0.500
Pd 0.000 0.332 0.000
Se 0.000 0.667 0.000
O 0.238 0.494 0.248
O 0.249 0.325 0.766
O 0.249 0.674 0.759



(14)
Simulated powder diffractogram
Compound: ErTmInC
Radiation: Cu Ka
Structure: a cell relaxed with PBE
Intensities are scaled so that the largest is 100.

Top 10 peaks for 15° ≤ 2θ ≤ 90°, by intensity:
- 33.53°, rel. 100, hkl 0 1 3
- 29.02°, rel. 22, hkl 1 0 0
- 33.24°, rel. 22, hkl 0 0 6
- 62.63°, rel. 21, hkl 1 1 6
- 51.44°, rel. 21, hkl 1 1 0
- 59.58°, rel. 19, hkl 0 1 9
- 44.70°, rel. 16, hkl 1 0 6
- 62.81°, rel. 16, hkl 2 0 3
- 85.39°, rel. 14, hkl 1 2 3
- 82.55°, rel. 8, hkl 2 0 9

Cell and atoms:
Cell lengths 3.5530, 3.5530, 16.1719 Å; angles 90.00, 90.00, 120.00 degrees
Space group P-3m1 (No. 164)
Symmetry-distinct sites (fractional):
Er 0.3333 0.6667 0.0827
Tm 0.3333 0.6667 0.4182
In 0.3333 0.6667 0.7492
C 0.0000 0.0000 0.0000
C 0.0000 0.0000 0.5000